For NaUTe2O8, a crystal structure in the Materials Project, relaxed with PBE gives the theoretical XRD peak list in this record (Cu Ka).

Peak list (10 most intense, 2θ = 10–90°, low angle first)
d/Å, Rel. int.
5.583, 334
4.087, 351
3.298, 1000
3.000, 112
2.791, 225
2.305, 126
2.044, 247
1.978, 97
1.919, 95
1.694, 301

Structural model:
Lattice parameters (Å, degrees): 7.883 6.000 7.908 90.00 90.00 90.00
Fractional coordinates of all 24 atoms:
Na  0.000  0.020  0.000
Na  0.500  0.980  0.500
U  0.000  0.998  0.499
U  0.500  0.002  0.999
Te  0.248  0.437  0.236
Te  0.252  0.563  0.736
Te  0.748  0.563  0.736
Te  0.752  0.437  0.236
O  0.000  0.119  0.715
O  0.000  0.409  0.165
O  0.000  0.646  0.782
O  0.000  0.885  0.283
O  0.203  0.250  0.430
O  0.226  0.768  0.551
O  0.274  0.232  0.051
O  0.297  0.750  0.930
O  0.500  0.115  0.783
O  0.500  0.354  0.282
O  0.500  0.591  0.665
O  0.500  0.881  0.215
O  0.703  0.750  0.930
O  0.726  0.232  0.051
O  0.774  0.768  0.551
O  0.797  0.250  0.430

For Na2ThTi3O9, a crystal structure in the Materials Project, relaxed with PBE gives the theoretical XRD peak list in this record (Cu Ka).

Peak list (10 most intense, 2θ = 10–90°, low angle first)
d/Å, Rel. int.
6.721, 375
4.767, 531
3.888, 353
2.749, 1000
2.547, 195
2.246, 213
2.129, 123
2.028, 116
1.944, 418
1.588, 315

Structural model:
Lattice parameters (Å, degrees): 5.504 5.504 6.721 90.00 90.00 120.00
Fractional coordinates of all 15 atoms:
Na  0.333  0.667  0.167
Na  0.667  0.333  0.833
Th  0.000  0.000  0.500
Ti  0.000  0.000  0.000
Ti  0.333  0.667  0.675
Ti  0.667  0.333  0.325
O  0.000  0.500  0.500
O  0.159  0.318  0.817
O  0.159  0.841  0.817
O  0.318  0.159  0.183
O  0.500  0.000  0.500
O  0.500  0.500  0.500
O  0.682  0.841  0.817
O  0.841  0.159  0.183
O  0.841  0.682  0.183

For Na2Ti3O7, a crystal structure in the Materials Project, relaxed with PBE gives the theoretical XRD peak list in this record (Cu Ka).

Peak list (10 most intense, 2θ = 10–90°, low angle first)
d/Å, Rel. int.
8.481, 1000
5.641, 286
3.483, 489
3.163, 213
3.016, 189
2.820, 167
2.653, 248
2.090, 297
2.082, 345
1.910, 346

Structural model:
Lattice parameters (Å, degrees): 8.662 3.820 9.240 90.00 101.74 90.00
Fractional coordinates of all 24 atoms:
Na  0.000  0.250  0.158
Na  0.000  0.750  0.842
Na  0.182  0.250  0.591
Na  0.818  0.750  0.409
Ti  0.252  0.750  0.325
Ti  0.353  0.750  0.015
Ti  0.469  0.750  0.721
Ti  0.531  0.250  0.279
Ti  0.647  0.250  0.985
Ti  0.748  0.250  0.675
O  0.057  0.750  0.346
O  0.176  0.750  0.092
O  0.281  0.750  0.813
O  0.305  0.250  0.318
O  0.349  0.750  0.539
O  0.415  0.250  0.044
O  0.486  0.750  0.247
O  0.514  0.250  0.753
O  0.585  0.750  0.956
O  0.651  0.250  0.461
O  0.695  0.750  0.682
O  0.719  0.250  0.187
O  0.824  0.250  0.908
O  0.943  0.250  0.654

For Na4Ti7O16, a crystal structure in the Materials Project, relaxed with PBE gives the theoretical XRD peak list in this record (Cu Ka).

Peak list (10 most intense, 2θ = 10–90°, low angle first)
d/Å, Rel. int.
5.239, 1000
5.042, 378
2.693, 222
2.633, 394
2.591, 638
2.252, 291
2.165, 574
1.689, 235
1.596, 278
1.528, 305

Structural model:
Lattice parameters (Å, degrees): 6.174 6.085 9.026 90.00 93.53 90.00
Fractional coordinates of all 27 atoms:
Na  0.228  0.000  0.121
Na  0.245  0.500  0.373
Na  0.755  0.500  0.627
Na  0.772  0.000  0.879
Ti  0.000  0.000  0.500
Ti  0.263  0.256  0.756
Ti  0.263  0.744  0.756
Ti  0.500  0.000  0.500
Ti  0.500  0.500  0.000
Ti  0.737  0.256  0.244
Ti  0.737  0.744  0.244
O  0.052  0.000  0.725
O  0.083  0.500  0.722
O  0.250  0.207  0.511
O  0.250  0.793  0.511
O  0.282  0.268  0.957
O  0.282  0.732  0.957
O  0.481  0.000  0.720
O  0.491  0.500  0.776
O  0.509  0.500  0.224
O  0.519  0.000  0.280
O  0.718  0.268  0.043
O  0.718  0.732  0.043
O  0.750  0.207  0.489
O  0.750  0.793  0.489
O  0.917  0.500  0.278
O  0.948  0.000  0.275

For Na3Ti6O13, a crystal structure in the Materials Project, relaxed with PBE gives the theoretical XRD peak list in this record (Cu Ka).

Peak list (10 most intense, 2θ = 10–90°, low angle first)
d/Å, Rel. int.
7.346, 941
6.394, 690
3.660, 510
2.991, 1000
2.950, 448
2.654, 326
2.430, 350
2.166, 653
2.018, 422
1.889, 635

Structural model:
Lattice parameters (Å, degrees): 7.716 7.716 9.521 100.58 100.58 28.34
Fractional coordinates of all 22 atoms:
Na  0.000  0.000  0.000
Na  0.035  0.035  0.322
Na  0.965  0.965  0.678
Ti  0.280  0.280  0.739
Ti  0.334  0.334  0.073
Ti  0.378  0.378  0.408
Ti  0.622  0.622  0.592
Ti  0.666  0.666  0.927
Ti  0.720  0.720  0.261
O  0.144  0.144  0.621
O  0.201  0.201  0.926
O  0.254  0.254  0.249
O  0.340  0.340  0.595
O  0.381  0.381  0.903
O  0.435  0.435  0.209
O  0.500  0.500  0.500
O  0.565  0.565  0.791
O  0.619  0.619  0.097
O  0.660  0.660  0.405
O  0.746  0.746  0.751
O  0.799  0.799  0.074
O  0.856  0.856  0.379

Copy entry 5 word for word.
For Na3Ti6O13, a crystal structure in the Materials Project, relaxed with PBE gives the theoretical XRD peak list in this record (Cu Ka).

Peak list (10 most intense, 2θ = 10–90°, low angle first)
d/Å, Rel. int.
7.346, 941
6.394, 690
3.660, 510
2.991, 1000
2.950, 448
2.654, 326
2.430, 350
2.166, 653
2.018, 422
1.889, 635

Structural model:
Lattice parameters (Å, degrees): 7.716 7.716 9.521 100.58 100.58 28.34
Fractional coordinates of all 22 atoms:
Na  0.000  0.000  0.000
Na  0.035  0.035  0.322
Na  0.965  0.965  0.678
Ti  0.280  0.280  0.739
Ti  0.334  0.334  0.073
Ti  0.378  0.378  0.408
Ti  0.622  0.622  0.592
Ti  0.666  0.666  0.927
Ti  0.720  0.720  0.261
O  0.144  0.144  0.621
O  0.201  0.201  0.926
O  0.254  0.254  0.249
O  0.340  0.340  0.595
O  0.381  0.381  0.903
O  0.435  0.435  0.209
O  0.500  0.500  0.500
O  0.565  0.565  0.791
O  0.619  0.619  0.097
O  0.660  0.660  0.405
O  0.746  0.746  0.751
O  0.799  0.799  0.074
O  0.856  0.856  0.379

Copy entry 4 word for word.
For Na4Ti7O16, a crystal structure in the Materials Project, relaxed with PBE gives the theoretical XRD peak list in this record (Cu Ka).

Peak list (10 most intense, 2θ = 10–90°, low angle first)
d/Å, Rel. int.
5.239, 1000
5.042, 378
2.693, 222
2.633, 394
2.591, 638
2.252, 291
2.165, 574
1.689, 235
1.596, 278
1.528, 305

Structural model:
Lattice parameters (Å, degrees): 6.174 6.085 9.026 90.00 93.53 90.00
Fractional coordinates of all 27 atoms:
Na  0.228  0.000  0.121
Na  0.245  0.500  0.373
Na  0.755  0.500  0.627
Na  0.772  0.000  0.879
Ti  0.000  0.000  0.500
Ti  0.263  0.256  0.756
Ti  0.263  0.744  0.756
Ti  0.500  0.000  0.500
Ti  0.500  0.500  0.000
Ti  0.737  0.256  0.244
Ti  0.737  0.744  0.244
O  0.052  0.000  0.725
O  0.083  0.500  0.722
O  0.250  0.207  0.511
O  0.250  0.793  0.511
O  0.282  0.268  0.957
O  0.282  0.732  0.957
O  0.481  0.000  0.720
O  0.491  0.500  0.776
O  0.509  0.500  0.224
O  0.519  0.000  0.280
O  0.718  0.268  0.043
O  0.718  0.732  0.043
O  0.750  0.207  0.489
O  0.750  0.793  0.489
O  0.917  0.500  0.278
O  0.948  0.000  0.275